Record 1
Computed X-ray powder pattern of Tb5Pr2HoSc for copper Kα, from the PBE geometry in Alexandria.
Peak positions follow from Bragg's law for the DFT cell and can differ from measured ones.

Atomic structure:
Unit cell a=10.4784 b=10.4784 c=10.4051 alpha=90.00 beta=90.00 gamma=149.18
Fractional coordinates of all 18 atoms:
Tb1 0.0150 0.9850 0.5000
Tb2 0.2746 0.7254 0.8053
Tb3 0.2972 0.7028 0.1864
Tb4 0.3730 0.6270 0.5040
Tb5 0.4841 0.5159 0.2276
Tb6 0.5159 0.4841 0.7276
Tb7 0.6270 0.3730 0.0040
Tb8 0.7028 0.2972 0.6864
Tb9 0.7254 0.2746 0.3053
Tb10 0.9850 0.0150 0.0000
Pr1 0.1139 0.8861 0.7978
Pr2 0.1154 0.8846 0.2204
Pr3 0.8846 0.1154 0.7204
Pr4 0.8861 0.1139 0.2978
Ho1 0.4061 0.5939 0.9463
Ho2 0.5939 0.4061 0.4463
Sc1 0.1954 0.8046 0.4990
Sc2 0.8046 0.1954 0.9990

Peak list (10 most intense, 2θ from 5° to 70°, by angle)
d_spacing, intensity
3.311, 27
3.204, 14
2.913, 35
2.784, 44
2.769, 100
2.601, 12
2.488, 10
1.770, 10
1.604, 19
1.494, 12



Record 2
Computed X-ray powder pattern of Sm2SeS for copper Kα, from the PBE geometry in Alexandria.
Peak positions follow from Bragg's law for the DFT cell and can differ from measured ones.

Atomic structure:
Unit cell a=6.9430 b=7.0597 c=3.9878 alpha=90.00 beta=90.00 gamma=90.00
Fractional coordinates of all 8 atoms:
Sm1 0.1655 0.2435 0.0000
Sm2 0.3345 0.7435 0.5000
Sm3 0.6655 0.2565 0.5000
Sm4 0.8345 0.7565 0.0000
Se1 0.0000 0.5000 0.5000
Se2 0.5000 0.0000 0.0000
S1 0.0000 0.0000 0.5000
S2 0.5000 0.5000 0.0000

Peak list (10 most intense, 2θ from 5° to 70°, by angle)
d_spacing, intensity
3.530, 12
3.109, 100
2.472, 55
2.002, 24
1.994, 12
1.946, 26
1.765, 8
1.741, 7
1.679, 11
1.553, 8